Fe3Co7O20: simulated X-ray diffraction stick pattern (copper Kα), based on the GGA+U geometry in Alexandria.
Kinematic intensities with the Lorentz-polarization factor, no thermal factor.

Top 10 peaks for 2θ = 10–90°, by intensity:
2theta  intensity  index
17.8  100  1 0 2
44.1  25  2 1 -1
37.1  18  1 1 -3
43.8  13  0 0 10
57.1  10  3 1 1
62.3  9  4 0 -2
36.7  9  1 0 -8
65.4  7  2 1 -11
80.7  5  3 1 11
56.8  5  1 0 12

Structure:
Cell lengths 5.9750, 2.8308, 20.7544 Å; angles 90.00, 94.68, 90.00 degrees
Positions (direct):
Fe 0.0000 0.0000 0.0000
Fe 0.4028 0.0000 0.7998
Fe 0.5972 0.0000 0.2002
Co 0.0000 0.5000 0.5000
Co 0.1994 0.0000 0.4006
Co 0.2009 0.5000 0.9005
Co 0.3970 0.5000 0.3011
Co 0.6030 0.5000 0.6989
Co 0.7991 0.5000 0.0995
Co 0.8006 0.0000 0.5994
O 0.0041 0.0000 0.0918
O 0.0049 0.5000 0.5912
O 0.1913 0.0000 0.3092
O 0.1924 0.5000 0.8088
O 0.2047 0.0000 0.4917
O 0.2087 0.5000 0.9921
O 0.3870 0.5000 0.2092
O 0.3993 0.0000 0.7069
O 0.4051 0.0000 0.8929
O 0.4047 0.5000 0.3923
O 0.5949 0.0000 0.1071
O 0.5953 0.5000 0.6077
O 0.6007 0.0000 0.2931
O 0.6130 0.5000 0.7908
O 0.7913 0.5000 0.0079
O 0.7953 0.0000 0.5083
O 0.8076 0.5000 0.1912
O 0.8087 0.0000 0.6908
O 0.9951 0.5000 0.4088
O 0.9959 0.0000 0.9082